Starting from DFT lattice parameters and positions (GGA-PBE), the powder XRD pattern of PmPu2Si2 was computed for Cu Kα.
Lines closer than 0.1° are merged.

Principal peaks in the range 10 to 90 degrees two-theta, sorted by position:
Position (°2θ)  I (rel.)
17.3  46.4
23.9  66.0
29.2  64.4
30.5  57.9
30.7  53.9
35.6  25.9
36.2  100.0
39.4  50.4
40.8  38.1
51.0  28.4

a = 6.951 Å, b = 6.951 Å, c = 8.196 Å
α = 90.00°, β = 90.00°, γ = 142.93°
Atoms (fractional coordinates):
Pm 0.081 0.919 0.500
Pm 0.919 0.081 0.000
Pu 0.181 0.819 0.102
Pu 0.353 0.647 0.382
Pu 0.647 0.353 0.882
Pu 0.819 0.181 0.602
Si 0.289 0.711 0.807
Si 0.463 0.537 0.697
Si 0.537 0.463 0.197
Si 0.711 0.289 0.307

Starting from DFT lattice parameters and positions (GGA-PBE), the powder XRD pattern of RbCu4Cl6 was computed for Cu Kα.
Lines closer than 0.1° are merged.

Principal peaks in the range 10 to 90 degrees two-theta, sorted by position:
Position (°2θ)  I (rel.)
13.0  70.4
16.3  100.0
27.1  37.6
28.0  52.8
31.1  52.0
33.5  25.2
39.6  22.4
41.9  20.7
45.0  21.0
47.4  20.5

a = 7.287 Å, b = 7.287 Å, c = 6.853 Å
α = 109.72°, β = 109.72°, γ = 78.34°
Atoms (fractional coordinates):
Rb 0.000 0.000 0.000
Cu 0.147 0.596 0.363
Cu 0.394 0.392 0.144
Cu 0.404 0.853 0.637
Cu 0.608 0.606 0.856
Cl 0.085 0.915 0.500
Cl 0.326 0.317 0.401
Cl 0.371 0.629 0.000
Cl 0.522 0.103 0.948
Cl 0.683 0.674 0.599
Cl 0.897 0.478 0.052

Starting from DFT lattice parameters and positions (GGA-PBE), the powder XRD pattern of K7ClO2F2 was computed for Cu Kα.
Lines closer than 0.1° are merged.

Principal peaks in the range 10 to 90 degrees two-theta, sorted by position:
Position (°2θ)  I (rel.)
17.4  56.5
27.6  51.6
28.0  25.6
28.5  81.6
32.6  28.8
32.9  37.6
34.3  100.0
36.4  50.3
51.2  36.0
57.1  23.9

a = 5.229 Å, b = 5.229 Å, c = 12.828 Å
α = 101.47°, β = 101.47°, γ = 88.32°
Atoms (fractional coordinates):
K 0.000 0.000 0.000
K 0.163 0.618 0.210
K 0.258 0.258 0.417
K 0.382 0.837 0.790
K 0.618 0.163 0.210
K 0.742 0.742 0.583
K 0.837 0.382 0.790
Cl 0.500 0.500 0.000
O 0.110 0.110 0.213
O 0.890 0.890 0.787
F 0.418 0.418 0.624
F 0.582 0.582 0.376